The following is a theoretical powder X-ray diffraction pattern of MgTe2Mo2W2Se4S2. It was derived from DFT lattice parameters and positions (PBE), using Cu Kα (weighted mean of Kα1 and Kα2).
Lines closer than 0.1° are merged.

The 10 most intense peaks (10° ≤ 2θ ≤ 80°), by intensity:
| d [Å] | two_theta | I_rel | h k l |
| --- | --- | --- | --- |
| 7.619 | 11.61 | 100 | 0 0 5 |
| 2.468 | 36.40 | 72 | 1 0 -8 |
| 2.883 | 31.02 | 43 | 1 0 0 |
| 2.056 | 44.04 | 42 | 0 1 -13 |
| 1.666 | 55.13 | 25 | 2 -1 0 |
| 6.349 | 13.95 | 20 | 0 0 6 |
| 1.980 | 45.83 | 15 | 0 1 14 |
| 2.699 | 33.20 | 12 | 1 0 5 |
| 2.383 | 37.74 | 11 | 0 0 16 |
| 1.381 | 67.87 | 11 | 0 2 -8 |

Structure:
```
13
Lattice="3.3324 0.0000 0.0000 -1.6661 2.8860 0.0000 0.0000 -0.0008 38.0960" Properties=species:S:1:pos:R:3 pbc="T T T"
Mg 0.0000 0.0000 0.0000
Te -0.1255 1.5954 6.6523
Te -0.1255 1.5954 10.4495
Mo -0.1253 1.5951 30.0259
Mo 1.5407 2.5574 8.5498
W -0.1255 1.5955 15.7110
W 1.5407 2.5571 22.8655
Se -0.1255 1.5951 21.1871
Se -0.1255 1.5950 24.5430
Se 1.5406 2.5573 28.3561
Se 1.5406 2.5572 31.6940
S 1.5407 2.5575 14.1851
S 1.5407 2.5575 17.2353
```